Diffraction record for LiCo3P3O13. The powder diffraction line list is simulated, not measured: it uses DFT lattice parameters and positions (GGA+U) and Cu Kα.
Peak positions follow from Bragg's law for the DFT cell and can differ from measured ones.

Cell and atoms:
```
LiCo3P3O13
1.0
7.218 0.000 0.000
0.000 6.104 0.000
-1.917 0.000 10.382
Li Co P O
2 6 6 26
Cartesian
0.744 1.526 1.403
4.557 4.578 8.980
-0.592 1.526 8.401
1.061 4.578 4.715
3.609 0.000 0.000
3.609 3.052 0.000
4.240 1.526 5.667
5.893 4.578 1.981
1.215 4.578 1.266
0.204 4.578 8.067
0.999 1.526 5.558
4.302 4.578 4.824
5.097 1.526 2.315
4.086 1.526 9.117
-1.784 1.526 9.923
-0.761 3.405 8.365
-0.761 5.751 8.365
0.570 4.578 2.684
-0.111 1.526 6.626
0.757 0.298 4.641
0.757 2.754 4.641
0.944 4.578 6.751
2.008 3.277 1.030
2.008 5.879 1.030
0.909 1.526 9.380
1.300 4.578 9.242
2.383 1.526 6.205
2.917 4.578 4.177
4.001 1.526 1.141
4.392 4.578 1.003
3.293 0.225 9.352
3.293 2.827 9.352
4.357 1.526 3.631
4.543 3.350 5.741
4.543 5.805 5.741
5.412 4.578 3.756
4.731 1.526 7.699
6.062 0.353 2.017
6.062 2.699 2.017
7.085 4.578 0.459
```

Top 8 peaks for 2θ = 10–90°, sorted by position:
- 16.8 deg, intensity 68.5
- 19.2 deg, intensity 100.0
- 25.1 deg, intensity 42.8
- 28.0 deg, intensity 53.9
- 29.3 deg, intensity 42.2
- 30.7 deg, intensity 48.2
- 32.7 deg, intensity 44.3
- 33.7 deg, intensity 50.0